Entry 1:
Simulated X-ray diffraction stick pattern
Compound: CeSe2
Radiation: Cu Kα
Structure: a crystal structure in the Materials Project, relaxed with PBE
Neutral-atom scattering factors, no anomalous dispersion.

Atomic structure:
```
18
Lattice="11.596 -4.116 0.000 11.596 4.116 0.000 -9.214 0.000 11.539" Properties=species:S:1:pos:R:3 pbc="T T T"
Ce 4.685 4.016 8.654
Ce -0.057 2.028 9.725
Ce 9.427 2.028 7.583
Ce 4.550 -2.028 3.955
Ce 14.034 -2.028 1.814
Ce 9.292 -4.016 2.885
Se 8.563 2.668 0.761
Se 2.579 2.366 9.142
Se 3.710 0.546 3.649
Se 10.021 2.668 5.008
Se 6.791 2.366 8.166
Se -0.897 -0.546 9.419
Se 14.874 0.546 2.120
Se 7.186 -2.366 3.373
Se 3.956 -2.668 6.531
Se 10.267 -0.546 7.890
Se 11.398 -2.366 2.397
Se 5.414 -2.668 10.777
```

Main lines, in order of falling intensity (2θ from 15° to 90°):
- 15.64°, I = 100
- 15.80°, I = 33
- 15.36°, I = 26
- 29.33°, I = 22
- 16.80°, I = 17
- 38.80°, I = 14
- 38.20°, I = 14
- 34.68°, I = 14
- 39.10°, I = 14
- 45.70°, I = 13

***

Entry 2:
Simulated X-ray diffraction stick pattern
Compound: Rb2Ba8CaSb6O2
Radiation: Cu Kα
Structure: a crystal structure in the Materials Project, relaxed with PBE
Neutral-atom scattering factors, no anomalous dispersion.

Atomic structure:
```
19
Lattice="9.259 0.000 0.000 -0.844 9.437 0.000 -4.159 -4.728 8.342" Properties=species:S:1:pos:R:3 pbc="T T T"
Rb 0.000 0.000 0.000
Rb 0.056 -0.027 6.783
Ba -1.735 6.207 4.066
Ba 1.049 5.813 0.601
Ba 0.951 3.239 4.061
Ba 3.300 1.464 1.002
Ba 3.236 -1.200 4.340
Ba 5.137 7.935 0.932
Ba 7.370 3.616 0.615
Ba 6.144 1.129 4.342
Ca 4.256 4.690 5.354
Sb -3.279 -1.820 6.596
Sb 0.082 -0.011 3.205
Sb -1.528 3.707 6.677
Sb 1.600 -3.724 6.677
Sb 4.207 4.729 2.300
Sb 3.379 1.788 6.583
O -0.413 4.710 2.343
O 4.684 -0.016 2.559
```

Main lines, in order of falling intensity (2θ from 15° to 90°):
- 25.97°, I = 100
- 29.75°, I = 50
- 30.84°, I = 50
- 27.50°, I = 37
- 27.39°, I = 36
- 27.21°, I = 25
- 26.14°, I = 23
- 26.28°, I = 21
- 41.41°, I = 21
- 32.19°, I = 18

***

Entry 3:
Simulated X-ray diffraction stick pattern
Compound: BaTiB2O6
Radiation: Cu Kα
Structure: a crystal structure in the Materials Project, relaxed with PBE
Neutral-atom scattering factors, no anomalous dispersion.

Atomic structure:
```
10
Lattice="2.537 1.465 5.606 -2.537 1.465 5.606 0.000 -2.930 5.606" Properties=species:S:1:pos:R:3 pbc="T T T"
Ba 0.000 0.000 0.000
Ti 0.000 0.000 8.409
B 0.000 0.000 3.915
B 0.000 0.000 12.904
O -1.488 -0.568 7.246
O -0.252 -1.573 9.572
O -1.236 1.004 9.572
O 1.236 -1.004 7.246
O 0.252 1.573 7.246
O 1.488 0.568 9.572
```

Main lines, in order of falling intensity (2θ from 15° to 90°):
- 29.40°, I = 100
- 22.83°, I = 72
- 48.39°, I = 36
- 35.38°, I = 30
- 42.52°, I = 26
- 33.55°, I = 20
- 59.87°, I = 19
- 56.47°, I = 18
- 20.89°, I = 18
- 47.97°, I = 18

***

Entry 4:
Simulated X-ray diffraction stick pattern
Compound: BaCuO3
Radiation: Cu Kα
Structure: a crystal structure in the Materials Project, relaxed with PBE
Neutral-atom scattering factors, no anomalous dispersion.

Atomic structure:
```
5
Lattice="4.004 0.000 0.000 0.000 4.004 0.000 0.000 0.000 4.004" Properties=species:S:1:pos:R:3 pbc="T T T"
Ba 0.000 0.000 0.000
Cu 2.002 2.002 2.002
O 0.000 2.002 2.002
O 2.002 0.000 2.002
O 2.002 2.002 0.000
```

Main lines, in order of falling intensity (2θ from 15° to 90°):
- 31.60°, I = 100
- 56.28°, I = 39
- 45.30°, I = 33
- 66.00°, I = 19
- 75.02°, I = 17
- 38.96°, I = 14
- 22.20°, I = 7
- 83.68°, I = 6
- 79.38°, I = 4
- 51.01°, I = 4

***

Entry 5:
Simulated X-ray diffraction stick pattern
Compound: Eu2CuSi3
Radiation: Cu Kα
Structure: a crystal structure in the Materials Project, relaxed with PBE
Neutral-atom scattering factors, no anomalous dispersion.

Atomic structure:
```
6
Lattice="4.077 0.000 0.000 -2.039 3.531 0.000 0.000 0.000 8.779" Properties=species:S:1:pos:R:3 pbc="T T T"
Eu 0.000 0.000 2.127
Eu 0.000 0.000 6.652
Cu 2.039 1.177 0.000
Si 0.000 2.354 0.000
Si 0.000 2.354 4.389
Si 2.039 1.177 4.389
```

Main lines, in order of falling intensity (2θ from 15° to 90°):
- 32.55°, I = 100
- 25.22°, I = 34
- 44.44°, I = 30
- 62.15°, I = 21
- 56.16°, I = 21
- 74.28°, I = 18
- 41.13°, I = 12
- 48.86°, I = 11
- 69.55°, I = 10
- 20.23°, I = 7

***

Which formula does entry 3 have?
BaTiB2O6